This entry pairs a crystal structure of YMn6Co6 with its simulated X-ray powder pattern. Radiation: CuKα. Structure: a crystal structure in the Materials Project, relaxed with GGA-PBE.
Peak positions follow from Bragg's law for the DFT cell and can differ from measured ones.

Top 8 peaks for 10 to 90 degrees two-theta, low angle first:
| two_theta | d/Å | intensity |
| --- | --- | --- |
| 37.8 | 2.379 | 21 |
| 43.6 | 2.074 | 37 |
| 44.0 | 2.058 | 100 |
| 44.1 | 2.053 | 50 |
| 44.5 | 2.034 | 50 |
| 44.6 | 2.030 | 44 |
| 50.0 | 1.823 | 53 |
| 73.6 | 1.287 | 22 |

```
data_YMn6Co6
_chemical_formula_sum 'Y1 Mn6 Co6'
_cell_length_a 6.2886
_cell_length_b 6.2886
_cell_length_c 6.2886
_cell_angle_alpha 136.42
_cell_angle_beta 98.37
_cell_angle_gamma 97.47
_space_group_name_H-M_alt 'P 1'
_space_group_IT_number 1
loop_
_space_group_symop_operation_xyz
'x,y,z'
loop_
_atom_site_label
_atom_site_fract_x
_atom_site_fract_y
_atom_site_fract_z
Y1 0.0000 0.0000 0.0000
Mn1 0.2173 0.7173 0.5000
Mn2 0.3651 0.3651 0.0000
Mn3 0.3669 0.0000 0.3669
Mn4 0.6331 0.0000 0.6331
Mn5 0.6349 0.6349 0.0000
Mn6 0.7827 0.2827 0.5000
Co1 0.0000 0.0000 0.5000
Co2 0.0000 0.5000 0.0000
Co3 0.2272 0.5000 0.7272
Co4 0.5000 0.0000 0.0000
Co5 0.5000 0.5000 0.5000
Co6 0.7728 0.5000 0.2728
```

***

This entry pairs a crystal structure of HoCo4Ni with its simulated X-ray powder pattern. Radiation: CuKα. Structure: a crystal structure in the Materials Project, relaxed with GGA-PBE.
Peak positions follow from Bragg's law for the DFT cell and can differ from measured ones.

Top 8 peaks for 10 to 90 degrees two-theta, low angle first:
| two_theta | d/Å | intensity |
| --- | --- | --- |
| 31.0 | 2.889 | 53 |
| 36.6 | 2.453 | 34 |
| 42.6 | 2.124 | 35 |
| 43.5 | 2.082 | 100 |
| 46.1 | 1.970 | 25 |
| 60.2 | 1.536 | 16 |
| 64.5 | 1.445 | 20 |
| 70.7 | 1.333 | 22 |

```
data_HoCo4Ni
_chemical_formula_sum 'Ho1 Co4 Ni1'
_cell_length_a 4.9062
_cell_length_b 4.9062
_cell_length_c 3.9401
_cell_angle_alpha 90.00
_cell_angle_beta 90.00
_cell_angle_gamma 120.00
_space_group_name_H-M_alt 'P 1'
_space_group_IT_number 1
loop_
_space_group_symop_operation_xyz
'x,y,z'
loop_
_atom_site_label
_atom_site_fract_x
_atom_site_fract_y
_atom_site_fract_z
Ho1 0.0000 0.0000 0.0000
Co1 0.0031 0.5015 0.5000
Co2 0.4985 0.5015 0.5000
Co3 0.4985 0.9969 0.5000
Co4 0.6667 0.3333 0.0000
Ni1 0.3333 0.6667 0.0000
```

***

This entry pairs a crystal structure of Sn3BF9 with its simulated X-ray powder pattern. Radiation: CuKα. Structure: a crystal structure in the Materials Project, relaxed with GGA-PBE.
Peak positions follow from Bragg's law for the DFT cell and can differ from measured ones.

Top 8 peaks for 10 to 90 degrees two-theta, low angle first:
| two_theta | d/Å | intensity |
| --- | --- | --- |
| 24.9 | 3.581 | 81 |
| 25.1 | 3.553 | 84 |
| 26.1 | 3.416 | 100 |
| 27.5 | 3.242 | 49 |
| 28.3 | 3.155 | 38 |
| 39.4 | 2.286 | 24 |
| 44.8 | 2.024 | 31 |
| 45.2 | 2.007 | 23 |

```
data_Sn3BF9
_chemical_formula_sum 'Sn12 B4 F36'
_cell_length_a 10.5495
_cell_length_b 7.7901
_cell_length_c 10.9590
_cell_angle_alpha 90.00
_cell_angle_beta 97.23
_cell_angle_gamma 90.00
_space_group_name_H-M_alt 'P 1'
_space_group_IT_number 1
loop_
_space_group_symop_operation_xyz
'x,y,z'
loop_
_atom_site_label
_atom_site_fract_x
_atom_site_fract_y
_atom_site_fract_z
Sn1 0.0581 0.1651 0.1852
Sn2 0.0581 0.3349 0.6852
Sn3 0.2018 0.6376 0.0557
Sn4 0.2018 0.8624 0.5557
Sn5 0.3159 0.1005 0.9401
Sn6 0.3159 0.3995 0.4401
Sn7 0.6841 0.6005 0.5599
Sn8 0.6841 0.8995 0.0599
Sn9 0.7982 0.1376 0.4443
Sn10 0.7982 0.3624 0.9443
Sn11 0.9419 0.6651 0.3148
Sn12 0.9419 0.8349 0.8148
B1 0.4079 0.5751 0.8034
B2 0.4079 0.9249 0.3034
B3 0.5921 0.0751 0.6966
B4 0.5921 0.4249 0.1966
F1 0.0410 0.6136 0.9066
F2 0.0410 0.8864 0.4066
F3 0.0710 0.7395 0.1727
F4 0.0710 0.7605 0.6727
F5 0.1761 0.5994 0.4733
F6 0.1761 0.9006 0.9733
F7 0.1766 0.1267 0.7783
F8 0.1766 0.3733 0.2783
F9 0.1951 0.2465 0.5337
F10 0.1951 0.2535 0.0337
F11 0.3392 0.0673 0.3457
F12 0.3392 0.4327 0.8457
F13 0.3688 0.5954 0.6742
F14 0.3688 0.9046 0.1742
F15 0.3733 0.7250 0.8655
F16 0.3733 0.7750 0.3655
F17 0.4605 0.0474 0.6748
F18 0.4605 0.4526 0.1748
F19 0.5395 0.5474 0.8252
F20 0.5395 0.9526 0.3252
F21 0.6267 0.2250 0.6345
F22 0.6267 0.2750 0.1345
F23 0.6312 0.0954 0.8258
F24 0.6312 0.4046 0.3258
F25 0.6608 0.5673 0.1543
F26 0.6608 0.9327 0.6543
F27 0.8049 0.7465 0.9663
F28 0.8049 0.7535 0.4663
F29 0.8234 0.6267 0.7217
F30 0.8234 0.8733 0.2217
F31 0.8239 0.0994 0.0267
F32 0.8239 0.4006 0.5267
F33 0.9290 0.2395 0.3273
F34 0.9290 0.2605 0.8273
F35 0.9590 0.1136 0.5934
F36 0.9590 0.3864 0.0934
```